For LaCuP4, a cell relaxed with GGA-PBE gives the computed powder X-ray diffraction pattern in this record (Cu Kα, 1.54184 Å).
Neutral-atom scattering factors, no anomalous dispersion.

Crystal structure
```
data_LaCuP4
_chemical_formula_sum 'La4 Cu4 P16'
_cell_length_a 7.526
_cell_length_b 7.526
_cell_length_c 7.526
_cell_angle_alpha 90.00
_cell_angle_beta 90.00
_cell_angle_gamma 90.00
_symmetry_space_group_name_H-M 'F -4 3 m'
_symmetry_Int_Tables_number 216
_symmetry_space_group_name_Hall 'F -4 2 3'
loop_
_atom_site_label
_atom_site_type_symbol
_atom_site_fract_x
_atom_site_fract_y
_atom_site_fract_z
La1 La 0.000 0.000 0.000
Cu1 Cu 0.250 0.250 0.250
P1 P 0.113 0.113 0.613
```

Largest 10 diffraction maxima, by angle, 5 to 70 degrees two-theta:
20.44°, d 4.345, intensity 32, hkl 1 1 1
23.64°, d 3.763, intensity 17, hkl 2 0 0
33.69°, d 2.661, intensity 81, hkl 2 2 0
39.72°, d 2.269, intensity 100, hkl 3 1 1
41.57°, d 2.172, intensity 12, hkl 2 2 2
48.38°, d 1.881, intensity 3, hkl 4 0 0
53.04°, d 1.726, intensity 13, hkl 3 3 1
54.53°, d 1.683, intensity 3, hkl 4 2 0
60.24°, d 1.536, intensity 28, hkl 4 2 2
64.32°, d 1.448, intensity 34, hkl 5 1 1